The following is a computed powder X-ray diffraction pattern of CsTcWO6. It was derived from the PBE+U geometry in Alexandria, using Cu Ka.
Lines closer than 0.1° are merged.

Main lines, most intense first (15 to 90 degrees two-theta):
| 2theta | d_spacing | I (rel.) |
| --- | --- | --- |
| 23.25 | 3.826 | 100 |
| 23.85 | 3.731 | 98 |
| 22.91 | 3.883 | 89 |
| 33.02 | 2.713 | 64 |
| 42.55 | 2.125 | 53 |
| 26.61 | 3.350 | 53 |

Cell and atoms:
Unit cell a=5.4314 b=5.4314 c=6.7031 alpha=90.84 beta=90.84 gamma=122.60
Fractional positions:
Cs: 0.0000 0.0000 0.0000
Tc: 0.6588 0.3412 0.5000
W: 0.3365 0.6635 0.5000
O: 0.0021 0.5847 0.6685
O: 0.0028 0.4116 0.3299
O: 0.3890 0.3937 0.6601
O: 0.4153 0.9979 0.3315
O: 0.5884 0.9972 0.6701
O: 0.6063 0.6110 0.3399